# AcPm5Nd2Dy
Theoretical powder diffractogram, CuKα. Input: DFT lattice parameters and positions (GGA-PBE).
Neutral-atom scattering factors, no anomalous dispersion.

Principal peaks in the range 5 to 70 degrees two-theta, sorted by position:
index, 2θ/deg, Rel. int.
2 1 3, 27.85, 43
2 2 0, 28.06, 50
2 0 4, 30.01, 100
3 1 0, 31.45, 17
2 1 5, 36.01, 13
3 2 1, 36.46, 15
4 0 2, 41.77, 22
0 0 8, 45.66, 13
4 2 4, 50.89, 22
2 2 8, 54.46, 15

```
data_AcPm5Nd2Dy
_chemical_formula_sum 'Ac4 Pm20 Nd8 Dy4'
_symmetry_space_group_name_H-M 'I 4/m c m'
_symmetry_Int_Tables_number 140
_symmetry_space_group_name_Hall '-I 4 2c'
_cell_length_a 8.994
_cell_length_b 8.994
_cell_length_c 15.895
_cell_angle_alpha 90.00
_cell_angle_beta 90.00
_cell_angle_gamma 90.00
loop_
_atom_site_label
_atom_site_fract_x
_atom_site_fract_y
_atom_site_fract_z
Ac1 0.000 0.000 0.250
Pm1 0.000 0.000 0.000
Pm2 0.205 0.295 0.134
Nd1 0.117 0.383 0.500
Dy1 0.000 0.500 0.250
```

***

# K2AuF6
Theoretical powder diffractogram, CuKα. Input: DFT lattice parameters and positions (GGA-PBE).
Neutral-atom scattering factors, no anomalous dispersion.

Principal peaks in the range 5 to 70 degrees two-theta, sorted by position:
index, 2θ/deg, Rel. int.
1 0 0, 15.84, 56
0 1 1, 17.45, 100
1 1 -1, 18.70, 53
0 2 0, 22.63, 45
1 0 -2, 23.45, 49
1 1 1, 27.77, 74
2 1 -1, 30.18, 52
1 1 -3, 37.29, 22
0 1 3, 42.28, 28
2 3 -1, 44.73, 20

```
data_K2AuF6
_chemical_formula_sum 'K4 Au2 F12'
_symmetry_space_group_name_H-M 'P 1 21/c 1'
_symmetry_Int_Tables_number 14
_cell_length_a 6.415
_cell_length_b 7.857
_cell_length_c 7.643
_cell_angle_alpha 90.00
_cell_angle_beta 119.32
_cell_angle_gamma 90.00
loop_
_symmetry_equiv_pos_as_xyz
'x,y,z'
'-x,-y,-z'
'-x,y+1/2,-z+1/2'
'x,-y+1/2,z+1/2'
loop_
_atom_site_label
_atom_site_fract_x
_atom_site_fract_y
_atom_site_fract_z
K1 0.178 0.062 0.300
Au1 0.500 0.000 0.000
F1 0.177 0.136 0.952
F2 0.306 0.710 0.433
F3 0.404 0.030 0.713
```

***

# Tb4SnBi2
Theoretical powder diffractogram, CuKα. Input: DFT lattice parameters and positions (GGA-PBE).
Neutral-atom scattering factors, no anomalous dispersion.

Principal peaks in the range 5 to 70 degrees two-theta, sorted by position:
index, 2θ/deg, Rel. int.
0 4 0, 25.70, 100
3 1 1, 29.38, 100
1 1 5, 34.28, 72
3 3 1, 34.73, 29
0 4 4, 36.67, 54
3 3 3, 39.43, 28
2 0 6, 43.47, 25
3 5 1, 43.70, 33
3 5 5, 54.93, 26
6 2 2, 60.96, 23

```
data_Tb4SnBi2
_chemical_formula_sum 'Tb32 Sn8 Bi16'
_symmetry_space_group_name_H-M 'F d d d'
_symmetry_Int_Tables_number 70
_cell_length_a 9.592
_cell_length_b 13.852
_cell_length_c 13.876
_cell_angle_alpha 90.00
_cell_angle_beta 90.00
_cell_angle_gamma 90.00
loop_
_symmetry_equiv_pos_as_xyz
'x,y,z'
'-x,-y,-z'
'-x+1/4,-y+1/4,z'
'x+1/4,y+1/4,-z'
'x,-y+1/4,-z+1/4'
'-x,y+1/4,z+1/4'
'-x+1/4,y,-z+1/4'
'x+1/4,-y,z+1/4'
'x,y+1/2,z+1/2'
'-x,-y+1/2,-z+1/2'
'-x+1/4,-y+3/4,z+1/2'
'x+1/4,y+3/4,-z+1/2'
'x,-y+3/4,-z+3/4'
'-x,y+3/4,z+3/4'
'-x+1/4,y+1/2,-z+3/4'
'x+1/4,-y+1/2,z+3/4'
'x+1/2,y,z+1/2'
'-x+1/2,-y,-z+1/2'
'-x+3/4,-y+1/4,z+1/2'
'x+3/4,y+1/4,-z+1/2'
'x+1/2,-y+1/4,-z+3/4'
'-x+1/2,y+1/4,z+3/4'
'-x+3/4,y,-z+3/4'
'x+3/4,-y,z+3/4'
'x+1/2,y+1/2,z'
'-x+1/2,-y+1/2,-z'
'-x+3/4,-y+3/4,z'
'x+3/4,y+3/4,-z'
'x+1/2,-y+3/4,-z+1/4'
'-x+1/2,y+3/4,z+1/4'
'-x+3/4,y+1/2,-z+1/4'
'x+3/4,-y+1/2,z+1/4'
loop_
_atom_site_label
_atom_site_fract_x
_atom_site_fract_y
_atom_site_fract_z
Tb1 0.065 0.280 0.470
Sn1 0.125 0.125 0.625
Bi1 0.000 0.000 0.000
```

***

# CdB4Rh12
Theoretical powder diffractogram, CuKα. Input: DFT lattice parameters and positions (GGA-PBE).
Neutral-atom scattering factors, no anomalous dispersion.

Principal peaks in the range 5 to 70 degrees two-theta, sorted by position:
index, 2θ/deg, Rel. int.
1 1 0, 16.25, 2
2 2 0, 32.84, 6
3 0 1, 36.85, 100
2 2 2, 40.51, 14
3 1 2, 43.92, 60
3 3 0, 50.18, 5
4 2 0, 53.10, 4
3 3 2, 55.91, 4
4 2 2, 58.63, 11
4 3 1, 61.28, 12

```
data_CdB4Rh12
_chemical_formula_sum 'Cd2 B8 Rh24'
_symmetry_space_group_name_H-M 'I m -3'
_symmetry_Int_Tables_number 204
_symmetry_space_group_name_Hall '-I 2 2 3'
_cell_length_a 7.714
_cell_length_b 7.714
_cell_length_c 7.714
_cell_angle_alpha 90.00
_cell_angle_beta 90.00
_cell_angle_gamma 90.00
loop_
_atom_site_label
_atom_site_fract_x
_atom_site_fract_y
_atom_site_fract_z
Cd1 0.000 0.000 0.000
B1 0.250 0.250 0.250
Rh1 0.000 0.321 0.168
```